Computed powder diffractogram
Compound: HfCrCuS4
Radiation: a wavelength of 1.5418 Å
Structure: a GGA-PBE-relaxed structure

Peak list (10 most intense, 2θ from 10° to 80°, most intense first)
2θ 26.21, I = 100.0; 2θ 35.26, I = 31.9; 2θ 14.12, I = 25.8; 2θ 36.42, I = 25.6; 2θ 18.47, I = 23.7; 2θ 37.48, I = 21.2; 2θ 32.40, I = 20.0; 2θ 30.66, I = 18.4; 2θ 35.64, I = 15.4; 2θ 19.65, I = 14.8

Structural model:
```
data_HfCrCuS4
_chemical_formula_sum 'Hf8 Cr8 Cu8 S32'
_cell_length_a 6.943
_cell_length_b 11.670
_cell_length_c 12.576
_cell_angle_alpha 89.72
_cell_angle_beta 86.34
_cell_angle_gamma 88.29
_space_group_name_H-M_alt 'P 1'
_space_group_IT_number 1
loop_
_space_group_symop_operation_xyz
'x,y,z'
loop_
_atom_site_label
_atom_site_type_symbol
_atom_site_fract_x
_atom_site_fract_y
_atom_site_fract_z
Hf1 Hf 0.000 0.000 0.000
Hf2 Hf 0.033 0.512 0.662
Hf3 Hf 0.202 0.488 0.006
Hf4 Hf 0.288 0.776 0.496
Hf5 Hf 0.526 0.270 0.857
Hf6 Hf 0.601 0.999 0.341
Hf7 Hf 0.739 0.783 0.857
Hf8 Hf 0.810 0.504 0.346
Cr1 Cr 0.053 0.266 0.489
Cr2 Cr 0.265 0.229 0.119
Cr3 Cr 0.288 0.047 0.605
Cr4 Cr 0.452 0.734 0.129
Cr5 Cr 0.549 0.534 0.624
Cr6 Cr 0.776 0.046 0.613
Cr7 Cr 0.805 0.242 0.245
Cr8 Cr 0.951 0.744 0.128
Cu1 Cu 0.142 0.972 0.328
Cu2 Cu 0.238 0.510 0.343
Cu3 Cu 0.312 0.776 0.836
Cu4 Cu 0.490 0.258 0.493
Cu5 Cu 0.591 0.019 0.928
Cu6 Cu 0.755 0.489 0.965
Cu7 Cu 0.776 0.753 0.428
Cu8 Cu 0.973 0.287 0.796
S1 S 0.024 0.168 0.656
S2 S 0.040 0.098 0.187
S3 S 0.040 0.894 0.828
S4 S 0.043 0.633 0.458
S5 S 0.046 0.917 0.563
S6 S 0.070 0.343 0.313
S7 S 0.208 0.606 0.181
S8 S 0.211 0.856 0.073
S9 S 0.228 0.406 0.813
S10 S 0.278 0.118 0.433
S11 S 0.287 0.414 0.537
S12 S 0.290 0.665 0.678
S13 S 0.303 0.125 0.958
S14 S 0.386 0.836 0.302
S15 S 0.475 0.654 0.950
S16 S 0.493 0.370 0.041
S17 S 0.515 0.176 0.673
S18 S 0.528 0.921 0.780
S19 S 0.541 0.129 0.192
S20 S 0.544 0.620 0.454
S21 S 0.552 0.919 0.534
S22 S 0.560 0.373 0.318
S23 S 0.705 0.875 0.050
S24 S 0.709 0.617 0.188
S25 S 0.733 0.430 0.788
S26 S 0.776 0.671 0.682
S27 S 0.782 0.154 0.435
S28 S 0.808 0.415 0.539
S29 S 0.814 0.163 0.919
S30 S 0.877 0.865 0.291
S31 S 0.965 0.639 0.959
S32 S 0.982 0.347 0.077
```